This entry pairs a crystal structure of CaMn2P4O14 with its calculated powder XRD pattern. Radiation: Cu Kα, 1.54184 Å. Structure: a PBE+U-relaxed structure.
Kinematic intensities with the Lorentz-polarization factor, no thermal factor.

```
data_CaMn2P4O14
_cell_length_a 5.057
_cell_length_b 6.905
_cell_length_c 9.080
_cell_angle_alpha 102.68
_cell_angle_beta 103.56
_cell_angle_gamma 104.48
_symmetry_space_group_name_H-M 'P 1'
_symmetry_Int_Tables_number 1
loop_
_symmetry_equiv_pos_as_xyz
'x,y,z'
loop_
_atom_site_label
_atom_site_fract_x
_atom_site_fract_y
_atom_site_fract_z
_atom_site_occupancy
Ca1 0.000 0.000 0.000 1
Mn1 0.362 0.642 0.879 1
Mn2 0.941 0.170 0.616 1
P1 0.413 0.254 0.410 1
P2 0.536 0.194 0.874 1
P3 0.801 0.658 0.638 1
P4 0.925 0.609 0.114 1
O1 0.021 0.541 0.689 1
O2 0.060 0.652 0.285 1
O3 0.124 0.684 0.016 1
O4 0.232 0.204 0.517 1
O5 0.256 0.207 0.238 1
O6 0.293 0.291 0.832 1
O7 0.432 0.001 0.927 1
O8 0.576 0.506 0.476 1
O9 0.649 0.694 0.767 1
O10 0.651 0.148 0.432 1
O11 0.683 0.711 0.071 1
O12 0.697 0.152 0.756 1
O13 0.775 0.355 0.033 1
O14 0.942 0.865 0.618 1
```

Top 8 peaks for 2θ from 10° to 90°, by intensity:
10.5 deg, rel. 1000
23.7 deg, rel. 678
27.9 deg, rel. 467
32.7 deg, rel. 358
29.5 deg, rel. 276
27.5 deg, rel. 255
19.7 deg, rel. 250
23.2 deg, rel. 207